1.
Computed powder diffraction line list of YW7 for Cu Kα (weighted mean of Kα1 and Kα2), from a crystal structure in Alexandria, relaxed with GGA-PBE.

Crystal structure
Cell lengths 5.8282, 5.8282, 5.8282 Å; angles 60.00, 60.00, 60.00 degrees
Fractional coordinates of all 8 atoms:
Y  0.0000  0.0000  0.0000
W  0.0000  0.0000  0.5000
W  0.0000  0.5000  0.0000
W  0.0000  0.5000  0.5000
W  0.5000  0.0000  0.0000
W  0.5000  0.0000  0.5000
W  0.5000  0.5000  0.0000
W  0.5000  0.5000  0.5000

Peak list (8 most intense, 2θ from 5° to 70°, in order of rising 2θ)
| two_theta | d/Å | I/Imax |
| --- | --- | --- |
| 18.65 | 4.759 | 2 |
| 21.56 | 4.121 | 1 |
| 30.68 | 2.914 | 1 |
| 36.14 | 2.485 | 2 |
| 37.81 | 2.379 | 100 |
| 43.94 | 2.061 | 49 |
| 48.12 | 1.891 | 1 |
| 63.89 | 1.457 | 33 |

***

2.
Computed powder diffraction line list of Sm4CuIr3 for Cu Kα (weighted mean of Kα1 and Kα2), from a crystal structure in Alexandria, relaxed with GGA-PBE.

Crystal structure
Cell lengths 3.9579, 4.3142, 10.7186 Å; angles 90.00, 90.00, 90.00 degrees
Fractional coordinates of all 8 atoms:
Sm  0.0000  0.0000  0.0000
Sm  0.0000  0.5000  0.2781
Sm  0.5000  0.0000  0.4890
Sm  0.5000  0.5000  0.7763
Cu  0.0000  0.0000  0.7053
Ir  0.0000  0.5000  0.5665
Ir  0.5000  0.0000  0.2178
Ir  0.5000  0.5000  0.0475

Peak list (8 most intense, 2θ from 5° to 70°, in order of rising 2θ)
| two_theta | d/Å | I/Imax |
| --- | --- | --- |
| 31.80 | 2.814 | 100 |
| 33.44 | 2.680 | 23 |
| 33.80 | 2.652 | 25 |
| 39.59 | 2.276 | 30 |
| 39.90 | 2.259 | 74 |
| 41.88 | 2.157 | 30 |
| 45.85 | 1.979 | 23 |
| 63.83 | 1.458 | 17 |

***

3.
Computed powder diffraction line list of CsCuAgCl4 for Cu Kα (weighted mean of Kα1 and Kα2), from a crystal structure in Alexandria, relaxed with GGA-PBE.

Crystal structure
Cell lengths 6.1776, 7.3821, 9.4981 Å; angles 90.00, 108.64, 90.00 degrees
Fractional coordinates of all 14 atoms:
Cs  0.2263  0.2500  0.3966
Cs  0.7737  0.7500  0.6034
Cu  0.1378  0.2500  0.8080
Cu  0.8622  0.7500  0.1920
Ag  0.3933  0.7500  0.0067
Ag  0.6067  0.2500  0.9933
Cl  0.0282  0.2500  0.0115
Cl  0.1687  0.7500  0.4005
Cl  0.3643  0.0035  0.7933
Cl  0.3643  0.4965  0.7933
Cl  0.6357  0.5035  0.2067
Cl  0.6357  0.9965  0.2067
Cl  0.8313  0.2500  0.5995
Cl  0.9718  0.7500  0.9885

Peak list (8 most intense, 2θ from 5° to 70°, in order of rising 2θ)
| two_theta | d/Å | I/Imax |
| --- | --- | --- |
| 19.37 | 4.582 | 50 |
| 20.70 | 4.291 | 88 |
| 23.15 | 3.842 | 45 |
| 23.88 | 3.726 | 49 |
| 24.11 | 3.691 | 100 |
| 31.33 | 2.855 | 57 |
| 31.39 | 2.849 | 39 |
| 31.96 | 2.800 | 97 |

***

4.
Computed powder diffraction line list of PrDy2Co6 for Cu Kα (weighted mean of Kα1 and Kα2), from a crystal structure in Alexandria, relaxed with GGA-PBE.

Crystal structure
Cell lengths 6.6998, 6.6998, 4.1128 Å; angles 90.00, 90.00, 120.00 degrees
Fractional coordinates of all 9 atoms:
Pr  0.0000  0.0000  0.0000
Dy  0.3333  0.6667  0.0000
Dy  0.6667  0.3333  0.0000
Co  0.0000  0.3356  0.5000
Co  0.0000  0.6644  0.5000
Co  0.3356  0.0000  0.5000
Co  0.3356  0.3356  0.5000
Co  0.6644  0.0000  0.5000
Co  0.6644  0.6644  0.5000

Peak list (8 most intense, 2θ from 5° to 70°, in order of rising 2θ)
| two_theta | d/Å | I/Imax |
| --- | --- | --- |
| 26.61 | 3.350 | 17 |
| 34.53 | 2.597 | 100 |
| 44.04 | 2.056 | 14 |
| 46.98 | 1.934 | 34 |
| 52.20 | 1.752 | 7 |
| 54.81 | 1.675 | 3 |
| 59.60 | 1.551 | 20 |
| 66.35 | 1.409 | 23 |

***

5.
Computed powder diffraction line list of Er8Cd3Os2 for Cu Kα (weighted mean of Kα1 and Kα2), from a crystal structure in Alexandria, relaxed with GGA-PBE.

Crystal structure
Cell lengths 10.1591, 10.1591, 4.0549 Å; angles 92.22, 92.22, 55.06 degrees
Fractional coordinates of all 13 atoms:
Er  0.0177  0.6246  0.2551
Er  0.0729  0.0729  0.2515
Er  0.3449  0.3449  0.7948
Er  0.3754  0.9823  0.7449
Er  0.6246  0.0177  0.2551
Er  0.6551  0.6551  0.2052
Er  0.9271  0.9271  0.7485
Er  0.9823  0.3754  0.7449
Cd  0.2782  0.7218  0.0000
Cd  0.5000  0.5000  0.5000
Cd  0.7218  0.2782  0.0000
Os  0.2359  0.2359  0.2609
Os  0.7641  0.7641  0.7391

Peak list (8 most intense, 2θ from 5° to 70°, in order of rising 2θ)
| two_theta | d/Å | I/Imax |
| --- | --- | --- |
| 9.83 | 9.000 | 46 |
| 31.12 | 2.874 | 100 |
| 32.26 | 2.775 | 33 |
| 33.95 | 2.640 | 48 |
| 34.85 | 2.574 | 36 |
| 35.39 | 2.537 | 36 |
| 36.22 | 2.480 | 34 |
| 38.34 | 2.348 | 33 |

***

6.
Computed powder diffraction line list of Tb4Sm5Dy for Cu Kα (weighted mean of Kα1 and Kα2), from a crystal structure in Alexandria, relaxed with GGA-PBE.

Crystal structure
Cell lengths 3.5885, 9.4943, 10.1681 Å; angles 74.48, 89.94, 79.15 degrees
Fractional coordinates of all 10 atoms:
Tb  0.1000  0.2999  0.2978
Tb  0.3000  0.8993  0.9003
Tb  0.7000  0.1007  0.0997
Tb  0.9000  0.7001  0.7022
Sm  0.0999  0.3004  0.8022
Sm  0.2997  0.9003  0.3997
Sm  0.5000  0.5000  0.5000
Sm  0.7003  0.0997  0.6003
Sm  0.9001  0.6996  0.1978
Dy  0.5000  0.5000  0.0000

Peak list (6 most intense, 2θ from 5° to 70°, in order of rising 2θ)
| two_theta | d/Å | I/Imax |
| --- | --- | --- |
| 30.49 | 2.932 | 100 |
| 35.35 | 2.539 | 51 |
| 50.86 | 1.795 | 36 |
| 60.43 | 1.532 | 25 |
| 60.51 | 1.530 | 18 |
| 63.46 | 1.466 | 12 |